RbCuP3O9: calculated powder XRD pattern (λ = 1.5418 Å (Cu Kα)), based on a GGA-PBE-relaxed structure.
Kinematic intensities with the Lorentz-polarization factor, no thermal factor.

Structure:
```
56
Lattice="5.324 0.000 0.000 0.000 11.633 0.000 -2.073 0.000 13.200" Properties=species:S:1:pos:R:3 pbc="T T T"
Rb -0.194 1.902 3.286
Rb -1.231 3.914 9.886
Rb 4.481 7.719 3.314
Rb 3.444 9.731 9.914
Cu 0.000 0.000 0.000
Cu -1.037 0.000 6.600
Cu 0.000 5.817 0.000
Cu -1.037 5.817 6.600
P 1.298 8.691 0.115
P 0.261 8.759 6.715
P 0.787 6.906 11.480
P 1.824 10.544 4.880
P 0.849 0.926 11.238
P 1.886 4.891 4.638
P 1.365 6.743 8.561
P 2.401 10.707 1.962
P 1.426 1.089 8.320
P 2.463 4.728 1.720
P 2.989 2.875 6.485
P 1.953 2.942 13.085
O -0.704 7.706 6.236
O -1.740 9.743 12.836
O 0.725 7.485 0.817
O -0.312 9.965 7.417
O -0.558 0.506 11.019
O 0.479 5.310 4.419
O -0.033 1.076 7.926
O 1.003 4.740 1.326
O 1.420 0.068 1.381
O 0.383 5.749 7.981
O 0.929 0.075 5.132
O -0.107 5.741 11.732
O 0.112 8.284 12.046
O 1.149 9.165 5.446
O 0.722 7.379 9.925
O 1.758 10.070 3.325
O 1.369 8.117 7.689
O 2.406 9.333 1.089
O 0.845 2.301 12.111
O 1.882 3.516 5.511
O 1.492 1.563 9.875
O 2.529 4.254 3.275
O 2.102 2.468 7.753
O 3.138 3.349 1.153
O 3.358 5.892 1.468
O 2.321 11.558 8.068
O 2.867 5.885 5.219
O 1.831 11.565 11.819
O 2.247 6.893 11.873
O 3.284 10.557 5.274
O 2.771 6.323 8.780
O 3.808 11.127 2.181
O 3.563 1.668 5.783
O 2.526 4.148 12.383
O 4.991 1.890 0.364
O 3.954 3.927 6.964
```

Principal peaks in the range 15 to 90 degrees two-theta, low angle first:
Position (°2θ)	I (rel.)
21.3	28
23.0	76
24.5	100
25.1	38
25.4	30
27.9	34
29.6	80
31.5	24
33.7	47
34.2	28


Rb2CuP2O6: calculated powder XRD pattern (λ = 1.5418 Å (Cu Kα)), based on a GGA-PBE-relaxed structure.
Kinematic intensities with the Lorentz-polarization factor, no thermal factor.

Structure:
```
11
Lattice="2.883 1.664 5.556 -2.883 1.664 5.556 0.000 -3.329 5.556" Properties=species:S:1:pos:R:3 pbc="T T T"
Rb 0.000 0.000 3.725
Rb 0.000 0.000 12.942
Cu 0.000 0.000 0.000
P 0.000 0.000 7.179
P 0.000 0.000 9.488
O 0.000 -1.501 6.827
O -1.300 0.751 6.827
O -1.300 -0.751 9.840
O 1.300 0.751 6.827
O 1.300 -0.751 9.840
O 0.000 1.501 9.840
```

Principal peaks in the range 15 to 90 degrees two-theta, low angle first:
Position (°2θ)	I (rel.)
27.9	44
31.0	100
32.3	90
37.6	17
42.2	46
45.4	23
55.2	18
56.0	22
59.3	34
64.7	21